# 1
For AcPmPr3Dy, a cell relaxed with GGA-PBE gives the computed powder diffractogram in this record (Cu Kα).
Intensities are scaled so that the largest is 100.

Top 10 peaks for 2θ = 10–90°, sorted by position:
| 2θ/deg | I_rel | index |
| --- | --- | --- |
| 25.5 | 25 | 6 0 0 |
| 28.7 | 50 | 5 1 -1 |
| 29.1 | 62 | 5 1 1 |
| 29.4 | 40 | 1 1 -2 |
| 30.0 | 32 | 4 0 -2 |
| 30.1 | 100 | 0 2 0 |
| 31.7 | 64 | 3 1 -2 |
| 32.2 | 79 | 3 1 2 |
| 33.5 | 66 | 7 1 0 |
| 43.0 | 24 | 4 2 -2 |

Structural model:
a = 20.9522 Å, b = 5.9444 Å, c = 7.1385 Å
α = 90.00°, β = 91.40°, γ = 90.00°
Space group C2/m (No. 12)
Asymmetric unit:
Ac: 0.1481 0.0000 0.0326
Pm: 0.0563 0.5000 0.2833
Pr: 0.0160 0.0000 0.7438
Pr: 0.1599 0.5000 0.7438
Pr: 0.2186 0.5000 0.2749
Dy: 0.1425 0.0000 0.4892

# 2
For Ni3SnN, a cell relaxed with GGA-PBE gives the computed powder diffractogram in this record (Cu Kα).
Intensities are scaled so that the largest is 100.

Top 10 peaks for 2θ = 10–90°, sorted by position:
| 2θ/deg | I_rel | index |
| --- | --- | --- |
| 27.1 | 9 | 1 0 1 |
| 32.6 | 7 | 1 1 0 |
| 37.9 | 20 | 2 0 0 |
| 39.4 | 26 | 0 0 2 |
| 42.9 | 100 | 2 0 1 |
| 55.8 | 17 | 2 0 2 |
| 68.4 | 17 | 2 2 0 |
| 73.9 | 19 | 2 0 3 |
| 81.9 | 18 | 2 2 2 |
| 84.2 | 13 | 4 0 1 |

Structural model:
a = 5.4869 Å, b = 5.4869 Å, c = 4.5735 Å
α = 90.00°, β = 90.00°, γ = 120.00°
Space group P6_3/mmc (No. 194)
Asymmetric unit:
Ni: 0.1708 0.3416 0.2500
Sn: 0.3333 0.6667 0.7500
N: 0.0000 0.0000 0.0000

# 3
For LiBF3, a cell relaxed with GGA-PBE gives the computed powder diffractogram in this record (Cu Kα).
Intensities are scaled so that the largest is 100.

Top 10 peaks for 2θ = 10–90°, sorted by position:
| 2θ/deg | I_rel | index |
| --- | --- | --- |
| 11.9 | 82 | 0 2 0 |
| 19.4 | 41 | 0 1 1 |
| 24.0 | 60 | 0 4 0 |
| 25.8 | 26 | 0 3 1 |
| 32.4 | 61 | 1 1 1 |
| 36.7 | 100 | 1 3 1 |
| 37.4 | 19 | 0 0 2 |
| 44.9 | 15 | 0 4 2 |
| 49.1 | 20 | 0 8 0 |
| 52.7 | 24 | 2 0 0 |

Structural model:
a = 3.4713 Å, b = 14.8567 Å, c = 4.8078 Å
α = 90.00°, β = 90.00°, γ = 90.00°
Space group Ama2 (No. 40)
Asymmetric unit:
Li: 0.2500 0.1326 0.0000
B: 0.2500 0.3586 0.9840
F: 0.2500 0.1158 0.3928
F: 0.2500 0.2648 0.9814
F: 0.2500 0.3871 0.2705